No. 1
Diffraction record for Ca3Pm3ErTe8. The powder XRD pattern is simulated, not measured: it uses a DFT-relaxed cell (GGA-PBE, Alexandria) and Cu Ka.
Intensities are scaled so that the largest is 100.

Principal peaks in the range 10° ≤ 2θ ≤ 80°, by angle:
Position (°2θ)  I (rel.)  index
12.0  19.0  0 0 3
23.5  11.7  0 2 1
28.2  100.0  0 2 4
40.1  38.7  2 0 8
40.7  37.1  2 2 0
50.2  20.0  4 0 4
58.4  12.6  0 4 8
65.7  17.6  2 2 12
66.5  16.9  2 4 4
73.6  12.6  4 2 8

Atomic structure:
Lattice parameters (Å, degrees): 8.8756 8.8756 22.1932 90.00 90.00 120.00
Space group R-3m (No. 166, hexagonal axes)
Inequivalent atoms, fractional coordinates:
Ca  0.0000  0.5000  0.0000 (multiplicity 9)
Pm  0.0000  0.5000  0.5000 (multiplicity 9)
Er  0.0000  0.0000  0.5000 (multiplicity 3)
Te  0.0000  0.0000  0.2509 (multiplicity 6)
Te  0.0048  0.5024  0.2488 (multiplicity 18)


No. 2
Diffraction record for Ca2Pr5Er. The powder XRD pattern is simulated, not measured: it uses a DFT-relaxed cell (GGA-PBE, Alexandria) and Cu Ka.
Intensities are scaled so that the largest is 100.

Principal peaks in the range 10° ≤ 2θ ≤ 80°, by angle:
Position (°2θ)  I (rel.)  index
29.4  100.0  1 1 4
33.5  16.6  0 0 8
34.3  33.7  2 0 0
35.0  9.8  1 1 6
48.7  23.0  2 0 8
49.3  12.0  2 2 0
57.4  12.7  1 1 12
58.4  28.2  3 1 4
60.9  11.7  2 2 8
79.0  9.9  3 1 12

Atomic structure:
Lattice parameters (Å, degrees): 5.2287 5.2287 21.3934 90.00 90.00 90.00
Space group I4/mmm (No. 139)
Inequivalent atoms, fractional coordinates:
Ca  0.0000  0.0000  0.2495 (multiplicity 4)
Pr  0.0000  0.0000  0.0000 (multiplicity 2)
Pr  0.0000  0.5000  0.1178 (multiplicity 8)
Er  0.0000  0.0000  0.5000 (multiplicity 2)


No. 3
Diffraction record for CaPr8Er3. The powder XRD pattern is simulated, not measured: it uses a DFT-relaxed cell (GGA-PBE, Alexandria) and Cu Ka.
Intensities are scaled so that the largest is 100.

Principal peaks in the range 10° ≤ 2θ ≤ 80°, by angle:
Position (°2θ)  I (rel.)  index
25.5  15.6  1 1 0
29.6  100.0  4 0 -4
29.7  44.1  1 1 2
31.9  39.1  2 0 4
33.9  20.8  1 1 3
34.8  15.5  5 1 -1
35.6  27.8  5 1 -2
48.5  19.9  3 1 -6
55.5  13.0  2 0 -8
60.4  26.6  4 2 -4

Atomic structure:
Lattice parameters (Å, degrees): 18.7354 3.5583 13.2952 90.00 104.92 90.00
Space group Cm (No. 8)
Inequivalent atoms, fractional coordinates:
Ca  0.0000  0.0000  0.0000 (multiplicity 2)
Pr  0.1491  0.0000  0.4148 (multiplicity 2)
Pr  0.1597  0.5000  0.9113 (multiplicity 2)
Pr  0.1632  0.5000  0.1796 (multiplicity 2)
Pr  0.3145  0.5000  0.5707 (multiplicity 2)
Pr  0.3175  0.5000  0.8269 (multiplicity 2)
Pr  0.3238  0.0000  0.3326 (multiplicity 2)
Pr  0.4854  0.5000  0.5016 (multiplicity 2)
Pr  0.4881  0.0000  0.2546 (multiplicity 2)
Er  0.1409  0.5000  0.6488 (multiplicity 2)
Er  0.3280  0.5000  0.0984 (multiplicity 2)
Er  0.4707  0.0000  0.7384 (multiplicity 2)